The following is a simulated powder X-ray diffraction pattern of CdFe4F12. It was derived from a GGA+U-relaxed structure, using Cu Kα, 1.54184 Å.
Lines closer than 0.1° are merged.

Principal peaks in the range 2θ from 10° to 80°, by angle:
2theta, I/Imax
15.6, 100
16.0, 83
16.0, 83
22.0, 48
31.5, 65
32.4, 76
44.9, 49
45.5, 49

Structural model:
```
17
Lattice="5.5492 -3.9859 0.0000 5.5492 3.9859 0.0000 -5.2549 0.0000 5.5733" Properties=species:S:1:pos:R:3 pbc="T T T"
Cd 0.0000 0.0000 0.0000
Fe 2.7746 1.9930 0.0000
Fe 0.1471 1.9930 2.7867
Fe 2.7746 -1.9930 0.0000
Fe 0.1471 -1.9930 2.7867
F 1.6834 2.3435 1.6909
F 2.2399 0.0000 0.2488
F 1.2080 2.0893 4.4290
F 0.4313 0.0000 2.5091
F 4.6354 2.0893 1.1443
F 4.1600 2.3435 3.8825
F 1.6834 -2.3435 1.6909
F 1.2080 -2.0893 4.4290
F 5.4122 0.0000 3.0642
F 4.6354 -2.0893 1.1443
F 3.6035 0.0000 5.3245
F 4.1600 -2.3435 3.8825
```